1.
This entry pairs a crystal structure of Ac2ScHgSe6 with its computed powder XRD pattern. Radiation: copper Kα. Structure: a DFT-relaxed cell (GGA-PBE, Alexandria).
Kinematic intensities with the Lorentz-polarization factor, no thermal factor.

The 10 most intense peaks (10 to 90 degrees two-theta), sorted by position:
| 2θ (°) | d [Å] | I (rel.) | (hkl) |
| --- | --- | --- | --- |
| 18.74 | 4.735 | 44 | 1 1 0 |
| 24.57 | 3.624 | 54 | 1 1 1 |
| 25.01 | 3.560 | 100 | 1 1 -3 |
| 29.04 | 3.075 | 77 | 2 1 -3 |
| 32.73 | 2.736 | 51 | 1 1 -4 |
| 35.15 | 2.553 | 65 | 1 3 -1 |
| 35.48 | 2.530 | 43 | 0 2 3 |
| 37.29 | 2.411 | 47 | 0 0 4 |
| 43.49 | 2.081 | 63 | 3 1 -1 |
| 44.31 | 2.044 | 40 | 3 1 -5 |

Crystal structure
```
data_Ac2ScHgSe6
_chemical_formula_sum 'Ac4 Sc2 Hg2 Se12'
_symmetry_space_group_name_H-M 'P 1 21/c 1'
_symmetry_Int_Tables_number 14
_symmetry_space_group_name_Hall '-P 2ybc'
_cell_length_a 7.1279
_cell_length_b 8.2032
_cell_length_c 11.8574
_cell_angle_alpha 90.00
_cell_angle_beta 125.56
_cell_angle_gamma 90.00
loop_
_atom_site_label
_atom_site_type_symbol
_atom_site_fract_x
_atom_site_fract_y
_atom_site_fract_z
Ac1 Ac 0.2043 0.1131 0.2516
Sc1 Sc 0.5000 0.0000 0.0000
Hg1 Hg 0.0000 0.0000 0.5000
Se1 Se 0.1284 0.1609 0.9446
Se2 Se 0.2926 0.6997 0.9396
Se3 Se 0.3887 0.0474 0.7424
```

=====

2.
This entry pairs a crystal structure of Ac5HgSe4 with its computed powder XRD pattern. Radiation: copper Kα. Structure: a DFT-relaxed cell (GGA-PBE, Alexandria).
Kinematic intensities with the Lorentz-polarization factor, no thermal factor.

The 10 most intense peaks (10 to 90 degrees two-theta), sorted by position:
| 2θ (°) | d [Å] | I (rel.) | (hkl) |
| --- | --- | --- | --- |
| 24.03 | 3.703 | 32 | 2 1 1 |
| 27.78 | 3.212 | 86 | 1 3 0 |
| 27.91 | 3.197 | 42 | 0 0 2 |
| 39.75 | 2.267 | 100 | 4 2 0 |
| 49.22 | 1.851 | 36 | 4 2 2 |
| 57.38 | 1.606 | 11 | 2 6 0 |
| 64.96 | 1.436 | 32 | 7 1 0 |
| 65.20 | 1.431 | 16 | 1 3 4 |
| 72.09 | 1.310 | 23 | 7 1 2 |
| 72.29 | 1.307 | 12 | 4 2 4 |

Crystal structure
```
data_Ac5HgSe4
_chemical_formula_sum 'Ac10 Hg2 Se8'
_symmetry_space_group_name_H-M 'I 4/m'
_symmetry_Int_Tables_number 87
_symmetry_space_group_name_Hall '-I 4'
_cell_length_a 10.1558
_cell_length_b 10.1558
_cell_length_c 6.3935
_cell_angle_alpha 90.00
_cell_angle_beta 90.00
_cell_angle_gamma 90.00
loop_
_atom_site_label
_atom_site_type_symbol
_atom_site_fract_x
_atom_site_fract_y
_atom_site_fract_z
Ac1 Ac 0.0000 0.0000 0.0000
Ac2 Ac 0.1016 0.3034 0.5000
Hg1 Hg 0.0000 0.0000 0.5000
Se1 Se 0.1003 0.3022 0.0000
```

=====

3.
This entry pairs a crystal structure of AcHgSe3 with its computed powder XRD pattern. Radiation: copper Kα. Structure: a DFT-relaxed cell (GGA-PBE, Alexandria).
Kinematic intensities with the Lorentz-polarization factor, no thermal factor.

The 10 most intense peaks (10 to 90 degrees two-theta), sorted by position:
| 2θ (°) | d [Å] | I (rel.) | (hkl) |
| --- | --- | --- | --- |
| 21.47 | 4.138 | 25 | 0 0 2 |
| 22.28 | 3.991 | 100 | 1 1 -1 |
| 27.41 | 3.254 | 61 | 1 1 -2 |
| 28.12 | 3.173 | 33 | 0 1 2 |
| 30.22 | 2.957 | 29 | 1 0 -3 |
| 35.37 | 2.538 | 38 | 1 1 -3 |
| 35.64 | 2.519 | 27 | 2 1 1 |
| 36.35 | 2.472 | 50 | 0 2 0 |
| 37.61 | 2.392 | 23 | 3 0 0 |
| 40.46 | 2.229 | 45 | 3 1 -2 |

Crystal structure
```
data_AcHgSe3
_chemical_formula_sum 'Ac2 Hg2 Se6'
_symmetry_space_group_name_H-M 'P 1 21/m 1'
_symmetry_Int_Tables_number 11
_symmetry_space_group_name_Hall '-P 2yb'
_cell_length_a 7.6936
_cell_length_b 4.9431
_cell_length_c 8.8753
_cell_angle_alpha 90.00
_cell_angle_beta 111.17
_cell_angle_gamma 90.00
loop_
_atom_site_label
_atom_site_type_symbol
_atom_site_fract_x
_atom_site_fract_y
_atom_site_fract_z
Ac1 Ac 0.1170 0.2500 0.2922
Hg1 Hg 0.4642 0.2500 0.8120
Se1 Se 0.1194 0.2500 0.6595
Se2 Se 0.1869 0.7500 0.0743
Se3 Se 0.4585 0.7500 0.5297
```

=====

4.
This entry pairs a crystal structure of Ac2HgSe4 with its computed powder XRD pattern. Radiation: copper Kα. Structure: a DFT-relaxed cell (GGA-PBE, Alexandria).
Kinematic intensities with the Lorentz-polarization factor, no thermal factor.

The 10 most intense peaks (10 to 90 degrees two-theta), sorted by position:
| 2θ (°) | d [Å] | I (rel.) | (hkl) |
| --- | --- | --- | --- |
| 24.66 | 3.610 | 42 | 0 2 0 |
| 28.40 | 3.142 | 17 | 1 0 2 |
| 31.04 | 2.881 | 100 | 2 1 -2 |
| 33.03 | 2.712 | 25 | 0 2 2 |
| 36.01 | 2.494 | 32 | 2 2 0 |
| 40.81 | 2.211 | 22 | 2 1 2 |
| 41.98 | 2.152 | 23 | 1 0 -4 |
| 47.59 | 1.911 | 29 | 2 3 -2 |
| 56.48 | 1.629 | 18 | 1 2 4 |
| 69.91 | 1.346 | 16 | 5 0 -4 |

Crystal structure
```
data_Ac2HgSe4
_chemical_formula_sum 'Ac4 Hg2 Se8'
_symmetry_space_group_name_H-M 'P 1 21/m 1'
_symmetry_Int_Tables_number 11
_symmetry_space_group_name_Hall '-P 2yb'
_cell_length_a 7.2282
_cell_length_b 7.2192
_cell_length_c 8.6078
_cell_angle_alpha 90.00
_cell_angle_beta 107.37
_cell_angle_gamma 90.00
loop_
_atom_site_label
_atom_site_type_symbol
_atom_site_fract_x
_atom_site_fract_y
_atom_site_fract_z
Ac1 Ac 0.2302 0.2500 0.0554
Ac2 Ac 0.2316 0.2500 0.5607
Hg1 Hg 0.2417 0.7500 0.3115
Se1 Se 0.0254 0.5197 0.7566
Se2 Se 0.4474 0.7500 0.1046
Se3 Se 0.4561 0.7500 0.6202
```

=====

5.
This entry pairs a crystal structure of Ac6HgTe3Se2 with its computed powder XRD pattern. Radiation: copper Kα. Structure: a DFT-relaxed cell (GGA-PBE, Alexandria).
Kinematic intensities with the Lorentz-polarization factor, no thermal factor.

The 10 most intense peaks (10 to 90 degrees two-theta), sorted by position:
| 2θ (°) | d [Å] | I (rel.) | (hkl) |
| --- | --- | --- | --- |
| 23.50 | 3.786 | 11 | 2 0 0 |
| 27.05 | 3.296 | 100 | 1 3 1 |
| 38.23 | 2.354 | 13 | 2 0 2 |
| 38.36 | 2.347 | 26 | 1 3 -3 |
| 38.94 | 2.313 | 39 | 0 6 0 |
| 48.12 | 1.891 | 14 | 2 6 -2 |
| 55.78 | 1.648 | 13 | 2 6 2 |
| 62.68 | 1.482 | 12 | 0 6 4 |
| 63.46 | 1.466 | 12 | 4 6 0 |
| 70.21 | 1.341 | 9 | 4 6 -4 |

Crystal structure
```
data_Ac6HgTe3Se2
_chemical_formula_sum 'Ac12 Hg2 Te6 Se4'
_symmetry_space_group_name_H-M 'C 1 2/m 1'
_symmetry_Int_Tables_number 12
_symmetry_space_group_name_Hall '-C 2y'
_cell_length_a 8.0241
_cell_length_b 13.8534
_cell_length_c 8.1754
_cell_angle_alpha 90.00
_cell_angle_beta 108.91
_cell_angle_gamma 90.00
loop_
_atom_site_label
_atom_site_type_symbol
_atom_site_fract_x
_atom_site_fract_y
_atom_site_fract_z
Ac1 Ac 0.2420 0.0000 0.2315
Ac2 Ac 0.2451 0.3324 0.2326
Hg1 Hg 0.0000 0.5000 0.0000
Te1 Te 0.0000 0.0000 0.5000
Te2 Te 0.0000 0.3331 0.5000
Se1 Se 0.0000 0.1664 0.0000
```

=====

6.
This entry pairs a crystal structure of Ac4SiHg3 with its computed powder XRD pattern. Radiation: copper Kα. Structure: a DFT-relaxed cell (GGA-PBE, Alexandria).
Kinematic intensities with the Lorentz-polarization factor, no thermal factor.

The 10 most intense peaks (10 to 90 degrees two-theta), sorted by position:
| 2θ (°) | d [Å] | I (rel.) | (hkl) |
| --- | --- | --- | --- |
| 27.92 | 3.196 | 8 | 1 0 3 |
| 31.51 | 2.840 | 54 | 1 1 0 |
| 31.74 | 2.819 | 100 | 1 0 4 |
| 45.16 | 2.008 | 21 | 2 0 0 |
| 45.84 | 1.979 | 8 | 0 0 8 |
| 56.25 | 1.636 | 41 | 2 1 4 |
| 56.69 | 1.624 | 16 | 1 1 8 |
| 66.31 | 1.410 | 10 | 2 0 8 |
| 74.75 | 1.270 | 10 | 3 1 0 |
| 74.88 | 1.268 | 9 | 3 0 4 |

Crystal structure
```
data_Ac4SiHg3
_chemical_formula_sum 'Ac4 Si1 Hg3'
_symmetry_space_group_name_H-M 'P 4/m m m'
_symmetry_Int_Tables_number 123
_symmetry_space_group_name_Hall '-P 4 2'
_cell_length_a 4.0159
_cell_length_b 4.0159
_cell_length_c 15.8355
_cell_angle_alpha 90.00
_cell_angle_beta 90.00
_cell_angle_gamma 90.00
loop_
_atom_site_label
_atom_site_type_symbol
_atom_site_fract_x
_atom_site_fract_y
_atom_site_fract_z
Ac1 Ac 0.0000 0.0000 0.1074
Ac2 Ac 0.0000 0.0000 0.3719
Si1 Si 0.5000 0.5000 0.0000
Hg1 Hg 0.5000 0.5000 0.2443
Hg2 Hg 0.5000 0.5000 0.5000
```

=====

7.
This entry pairs a crystal structure of AcSm2Hg with its computed powder XRD pattern. Radiation: copper Kα. Structure: a DFT-relaxed cell (GGA-PBE, Alexandria).
Kinematic intensities with the Lorentz-polarization factor, no thermal factor.

The 10 most intense peaks (10 to 90 degrees two-theta), sorted by position:
| 2θ (°) | d [Å] | I (rel.) | (hkl) |
| --- | --- | --- | --- |
| 27.44 | 3.251 | 24 | 0 1 2 |
| 29.05 | 3.074 | 15 | 1 0 4 |
| 30.20 | 2.959 | 100 | 0 1 5 |
| 32.81 | 2.730 | 24 | 0 0 12 |
| 33.10 | 2.706 | 49 | 1 0 7 |
| 38.63 | 2.331 | 23 | 1 0 10 |
| 47.48 | 1.915 | 41 | 1 1 0 |
| 55.12 | 1.666 | 14 | 0 1 17 |
| 57.31 | 1.608 | 17 | 2 0 5 |
| 58.91 | 1.568 | 28 | 1 1 12 |

Crystal structure
```
data_AcSm2Hg
_chemical_formula_sum 'Ac3 Sm6 Hg3'
_symmetry_space_group_name_H-M 'R 3 m'
_symmetry_Int_Tables_number 160
_symmetry_space_group_name_Hall 'R 3 -2"'
_cell_length_a 3.8300
_cell_length_b 3.8300
_cell_length_c 32.7578
_cell_angle_alpha 90.00
_cell_angle_beta 90.00
_cell_angle_gamma 120.00
loop_
_atom_site_label
_atom_site_type_symbol
_atom_site_fract_x
_atom_site_fract_y
_atom_site_fract_z
Ac1 Ac 0.0000 0.0000 0.0000
Sm1 Sm 0.0000 0.0000 0.2381
Sm2 Sm 0.0000 0.0000 0.4289
Hg1 Hg 0.0000 0.0000 0.8337
```

=====

8.
This entry pairs a crystal structure of AcSmHg6 with its computed powder XRD pattern. Radiation: copper Kα. Structure: a DFT-relaxed cell (GGA-PBE, Alexandria).
Kinematic intensities with the Lorentz-polarization factor, no thermal factor.

The 10 most intense peaks (10 to 90 degrees two-theta), sorted by position:
| 2θ (°) | d [Å] | I (rel.) | (hkl) |
| --- | --- | --- | --- |
| 29.59 | 3.019 | 23 | 0 2 2 |
| 29.83 | 2.996 | 13 | 0 0 4 |
| 34.51 | 2.599 | 100 | 1 2 2 |
| 34.72 | 2.584 | 47 | 1 0 4 |
| 35.14 | 2.554 | 32 | 2 0 0 |
| 46.58 | 1.950 | 14 | 2 2 2 |
| 52.79 | 1.734 | 19 | 0 2 6 |
| 62.64 | 1.483 | 18 | 3 2 2 |
| 64.35 | 1.448 | 14 | 1 4 4 |
| 65.01 | 1.435 | 20 | 2 2 6 |

Crystal structure
```
data_AcSmHg6
_chemical_formula_sum 'Ac2 Sm2 Hg12'
_symmetry_space_group_name_H-M 'A m m 2'
_symmetry_Int_Tables_number 38
_symmetry_space_group_name_Hall 'A 2 -2'
_cell_length_a 5.1077
_cell_length_b 6.9911
_cell_length_c 11.9823
_cell_angle_alpha 90.00
_cell_angle_beta 90.00
_cell_angle_gamma 90.00
loop_
_atom_site_label
_atom_site_type_symbol
_atom_site_fract_x
_atom_site_fract_y
_atom_site_fract_z
Ac1 Ac 0.0000 0.0000 0.0000
Sm1 Sm 0.5000 0.0000 0.6840
Hg1 Hg 0.0000 0.0000 0.5173
Hg2 Hg 0.0000 0.2405 0.2553
Hg3 Hg 0.5000 0.0000 0.1796
Hg4 Hg 0.5000 0.2250 0.4212
```

=====

9.
This entry pairs a crystal structure of AcSmHg4 with its computed powder XRD pattern. Radiation: copper Kα. Structure: a DFT-relaxed cell (GGA-PBE, Alexandria).
Kinematic intensities with the Lorentz-polarization factor, no thermal factor.

The 10 most intense peaks (10 to 90 degrees two-theta), sorted by position:
| 2θ (°) | d [Å] | I (rel.) | (hkl) |
| --- | --- | --- | --- |
| 31.75 | 2.818 | 100 | 1 1 1 |
| 31.87 | 2.808 | 52 | 1 0 2 |
| 35.03 | 2.562 | 45 | 0 2 0 |
| 35.34 | 2.540 | 88 | 0 1 3 |
| 48.08 | 1.893 | 34 | 1 2 2 |
| 49.90 | 1.828 | 17 | 2 0 0 |
| 61.33 | 1.512 | 17 | 1 1 5 |
| 62.42 | 1.488 | 18 | 2 2 0 |
| 62.62 | 1.483 | 34 | 2 1 3 |
| 63.03 | 1.475 | 17 | 0 3 3 |

Crystal structure
```
data_AcSmHg4
_chemical_formula_sum 'Ac1 Sm1 Hg4'
_symmetry_space_group_name_H-M 'P m m m'
_symmetry_Int_Tables_number 47
_symmetry_space_group_name_Hall '-P 2 2'
_cell_length_a 3.6552
_cell_length_b 5.1233
_cell_length_c 8.7738
_cell_angle_alpha 90.00
_cell_angle_beta 90.00
_cell_angle_gamma 90.00
loop_
_atom_site_label
_atom_site_type_symbol
_atom_site_fract_x
_atom_site_fract_y
_atom_site_fract_z
Ac1 Ac 0.0000 0.0000 0.0000
Sm1 Sm 0.0000 0.5000 0.5000
Hg1 Hg 0.5000 0.0000 0.3384
Hg2 Hg 0.5000 0.5000 0.1746
```

=====

10.
This entry pairs a crystal structure of AcSm2Hg2 with its computed powder XRD pattern. Radiation: copper Kα. Structure: a DFT-relaxed cell (GGA-PBE, Alexandria).
Kinematic intensities with the Lorentz-polarization factor, no thermal factor.

The 10 most intense peaks (10 to 90 degrees two-theta), sorted by position:
| 2θ (°) | d [Å] | I (rel.) | (hkl) |
| --- | --- | --- | --- |
| 13.71 | 6.459 | 16 | 0 0 1 |
| 23.27 | 3.823 | 30 | 0 1 1 |
| 32.70 | 2.738 | 100 | 1 1 0 |
| 33.57 | 2.669 | 93 | 0 1 2 |
| 47.57 | 1.911 | 36 | 2 0 2 |
| 58.37 | 1.581 | 20 | 3 0 0 |
| 58.93 | 1.567 | 38 | 1 2 2 |
| 60.58 | 1.529 | 17 | 1 0 4 |
| 78.52 | 1.218 | 17 | 3 1 2 |
| 79.97 | 1.200 | 16 | 2 1 4 |

Crystal structure
```
data_AcSm2Hg2
_chemical_formula_sum 'Ac1 Sm2 Hg2'
_symmetry_space_group_name_H-M 'P -3 m 1'
_symmetry_Int_Tables_number 164
_symmetry_space_group_name_Hall '-P 3 2"'
_cell_length_a 5.4764
_cell_length_b 5.4764
_cell_length_c 6.4589
_cell_angle_alpha 90.00
_cell_angle_beta 90.00
_cell_angle_gamma 120.00
loop_
_atom_site_label
_atom_site_type_symbol
_atom_site_fract_x
_atom_site_fract_y
_atom_site_fract_z
Ac1 Ac 0.0000 0.0000 0.0000
Sm1 Sm 0.3333 0.6667 0.6594
Hg1 Hg 0.3333 0.6667 0.1796
```

=====

11.
This entry pairs a crystal structure of Ac3SmHg with its computed powder XRD pattern. Radiation: copper Kα. Structure: a DFT-relaxed cell (GGA-PBE, Alexandria).
Kinematic intensities with the Lorentz-polarization factor, no thermal factor.

The 10 most intense peaks (10 to 90 degrees two-theta), sorted by position:
| 2θ (°) | d [Å] | I (rel.) | (hkl) |
| --- | --- | --- | --- |
| 25.82 | 3.450 | 35 | 1 1 1 |
| 26.61 | 3.350 | 41 | 3 1 -1 |
| 29.05 | 3.074 | 80 | 4 0 2 |
| 29.62 | 3.016 | 100 | 5 1 0 |
| 29.73 | 3.005 | 73 | 8 0 -1 |
| 31.79 | 2.815 | 90 | 3 1 -2 |
| 32.69 | 2.740 | 33 | 4 0 -3 |
| 33.06 | 2.710 | 42 | 8 0 -2 |
| 46.38 | 1.958 | 34 | 0 2 0 |
| 50.90 | 1.794 | 59 | 9 1 2 |

Crystal structure
```
data_Ac3SmHg
_chemical_formula_sum 'Ac12 Sm4 Hg4'
_symmetry_space_group_name_H-M 'C 1 2/m 1'
_symmetry_Int_Tables_number 12
_symmetry_space_group_name_Hall '-C 2y'
_cell_length_a 24.2691
_cell_length_b 3.9158
_cell_length_c 8.4659
_cell_angle_alpha 90.00
_cell_angle_beta 102.98
_cell_angle_gamma 90.00
loop_
_atom_site_label
_atom_site_type_symbol
_atom_site_fract_x
_atom_site_fract_y
_atom_site_fract_z
Ac1 Ac 0.0127 0.0000 0.2518
Ac2 Ac 0.1206 0.5000 0.0271
Ac3 Ac 0.1747 0.0000 0.4747
Sm1 Sm 0.2453 0.5000 0.8338
Hg1 Hg 0.0812 0.5000 0.6055
```

=====

12.
This entry pairs a crystal structure of Ac3Sn3Hg2 with its computed powder XRD pattern. Radiation: copper Kα. Structure: a DFT-relaxed cell (GGA-PBE, Alexandria).
Kinematic intensities with the Lorentz-polarization factor, no thermal factor.

The 10 most intense peaks (10 to 90 degrees two-theta), sorted by position:
| 2θ (°) | d [Å] | I (rel.) | (hkl) |
| --- | --- | --- | --- |
| 28.81 | 3.099 | 48 | 1 3 1 |
| 29.10 | 3.068 | 93 | 1 1 4 |
| 29.23 | 3.055 | 28 | 0 4 1 |
| 30.37 | 2.943 | 18 | 0 2 5 |
| 32.18 | 2.782 | 23 | 0 0 6 |
| 32.64 | 2.743 | 100 | 1 3 3 |
| 36.04 | 2.492 | 20 | 0 4 4 |
| 36.98 | 2.431 | 48 | 2 0 0 |
| 47.82 | 1.902 | 29 | 2 4 1 |
| 55.06 | 1.668 | 21 | 1 7 0 |

Crystal structure
```
data_Ac3Sn3Hg2
_chemical_formula_sum 'Ac12 Sn12 Hg8'
_symmetry_space_group_name_H-M 'C m c m'
_symmetry_Int_Tables_number 63
_symmetry_space_group_name_Hall '-C 2c 2'
_cell_length_a 4.8612
_cell_length_b 12.4299
_cell_length_c 16.6919
_cell_angle_alpha 90.00
_cell_angle_beta 90.00
_cell_angle_gamma 90.00
loop_
_atom_site_label
_atom_site_type_symbol
_atom_site_fract_x
_atom_site_fract_y
_atom_site_fract_z
Ac1 Ac 0.0000 0.0691 0.1111
Ac2 Ac 0.0000 0.3448 0.2500
Sn1 Sn 0.0000 0.3782 0.7500
Sn2 Sn 0.0000 0.3791 0.0410
Hg1 Hg 0.0000 0.2270 0.6050
```